Calculated X-ray diffraction stick pattern
Compound: CeMn2Cu9
Radiation: CuKα
Structure: the PBE geometry in the Materials Project
Neutral-atom scattering factors, no anomalous dispersion.

Structural model:
```
data_CeMn2Cu9
_cell_length_a 8.2893
_cell_length_b 8.2893
_cell_length_c 4.9083
_cell_angle_alpha 90.00
_cell_angle_beta 90.00
_cell_angle_gamma 90.00
_symmetry_space_group_name_H-M 'P 4/m b m'
_symmetry_Int_Tables_number 127
_symmetry_space_group_name_Hall '-P 4 2ab'
loop_
_atom_site_label
_atom_site_type_symbol
_atom_site_fract_x
_atom_site_fract_y
_atom_site_fract_z
_atom_site_occupancy
Ce1 Ce 0.0000 0.0000 0.0000 1
Mn1 Mn 0.1160 0.3840 0.0000 1
Cu1 Cu 0.0000 0.5000 0.5000 1
Cu2 Cu 0.0649 0.2101 0.5000 1
Cu3 Cu 0.1787 0.6787 0.2405 1
```

Top 6 peaks for 10 to 90 degrees two-theta, low angle first:
two_theta  d (Å)  Rel. int.  h k l
35.68  2.516  33.3  2 2 1
38.95  2.312  100.0  3 1 1
42.82  2.112  44.4  2 0 2
43.47  2.082  33.1  3 2 1
44.26  2.046  68.3  2 1 2
45.10  2.010  54.6  4 1 0